# 1
The following is a computed powder X-ray diffraction pattern of LiTl2Cd. It was derived from a crystal structure in Alexandria, relaxed with PBE, using Cu Ka.

Structural model:
Lattice parameters (Å, degrees): 4.881 4.881 4.194 90.00 90.00 90.00
Sites, in units of the cell vectors:
Li: 0.000 0.000 0.000
Tl: 0.000 0.500 0.500
Tl: 0.500 0.000 0.500
Cd: 0.500 0.500 0.000

Largest 10 diffraction maxima, by angle, 2θ = 10–90°:
4.194 Å, 21.19°, I = 22.3
3.451 Å, 25.81°, I = 27.9
2.665 Å, 33.63°, I = 100.0
2.440 Å, 36.83°, I = 39.2
2.109 Å, 42.87°, I = 15.1
2.097 Å, 43.14°, I = 12.6
1.726 Å, 53.07°, I = 13.8
1.590 Å, 57.99°, I = 21.2
1.448 Å, 64.31°, I = 31.0
1.332 Å, 70.70°, I = 11.7

# 2
The following is a computed powder X-ray diffraction pattern of Li3Tl2Cd3. It was derived from a crystal structure in Alexandria, relaxed with PBE, using Cu Ka.

Structural model:
Lattice parameters (Å, degrees): 8.805 8.805 4.688 104.77 104.77 30.22
Sites, in units of the cell vectors:
Li: 0.000 0.000 0.000
Li: 0.120 0.120 0.618
Li: 0.880 0.880 0.382
Tl: 0.247 0.247 0.248
Tl: 0.753 0.753 0.752
Cd: 0.388 0.388 0.891
Cd: 0.500 0.500 0.500
Cd: 0.612 0.612 0.109

Largest 10 diffraction maxima, by angle, 2θ = 10–90°:
8.199 Å, 10.79°, I = 77.8
4.421 Å, 20.08°, I = 53.0
3.054 Å, 29.24°, I = 29.0
3.037 Å, 29.41°, I = 26.7
2.572 Å, 34.89°, I = 100.0
2.551 Å, 35.18°, I = 98.4
2.344 Å, 38.41°, I = 39.8
2.296 Å, 39.25°, I = 37.5
2.049 Å, 44.20°, I = 27.9
1.640 Å, 56.08°, I = 26.6

# 3
The following is a computed powder X-ray diffraction pattern of Li5Tl3Cd3. It was derived from a crystal structure in Alexandria, relaxed with PBE, using Cu Ka.

Structural model:
Lattice parameters (Å, degrees): 8.027 8.027 4.880 90.00 90.00 120.00
Sites, in units of the cell vectors:
Li: 0.000 0.389 0.000
Li: 0.333 0.667 0.000
Li: 0.389 0.000 0.000
Li: 0.611 0.611 0.000
Li: 0.667 0.333 0.000
Tl: 0.000 0.547 0.500
Tl: 0.453 0.453 0.500
Tl: 0.547 0.000 0.500
Cd: 0.000 0.781 0.000
Cd: 0.219 0.219 0.000
Cd: 0.781 0.000 0.000

Largest 10 diffraction maxima, by angle, 2θ = 10–90°:
4.014 Å, 22.15°, I = 72.7
3.994 Å, 22.26°, I = 68.4
3.476 Å, 25.63°, I = 40.5
2.831 Å, 31.60°, I = 100.0
2.440 Å, 36.84°, I = 26.6
2.314 Å, 38.93°, I = 63.7
2.085 Å, 43.40°, I = 25.2
1.928 Å, 47.14°, I = 24.0
1.856 Å, 49.08°, I = 24.4
1.793 Å, 50.92°, I = 23.5

# 4
The following is a computed powder X-ray diffraction pattern of LiTl4Cd. It was derived from a crystal structure in Alexandria, relaxed with PBE, using Cu Ka.

Structural model:
Lattice parameters (Å, degrees): 6.767 6.767 3.813 90.18 90.18 105.80
Sites, in units of the cell vectors:
Li: 0.000 0.000 0.000
Tl: 0.298 0.312 0.502
Tl: 0.555 0.061 0.002
Tl: 0.688 0.702 0.498
Tl: 0.939 0.445 0.998
Cd: 0.216 0.784 0.500

Largest 10 diffraction maxima, by angle, 2θ = 10–90°:
4.082 Å, 21.77°, I = 48.2
3.291 Å, 27.10°, I = 50.2
3.114 Å, 28.66°, I = 100.0
2.699 Å, 33.19°, I = 58.0
2.639 Å, 33.97°, I = 48.1
2.481 Å, 36.21°, I = 60.7
2.471 Å, 36.36°, I = 57.7
2.251 Å, 40.05°, I = 23.7
2.172 Å, 41.57°, I = 39.7
1.907 Å, 47.70°, I = 23.0

# 5
The following is a computed powder X-ray diffraction pattern of Li2TlCd6. It was derived from a crystal structure in Alexandria, relaxed with PBE, using Cu Ka.

Structural model:
Lattice parameters (Å, degrees): 7.096 7.096 7.098 106.11 106.11 35.08
Sites, in units of the cell vectors:
Li: 0.056 0.056 0.324
Li: 0.944 0.944 0.676
Tl: 0.500 0.500 0.000
Cd: 0.168 0.168 0.993
Cd: 0.274 0.274 0.663
Cd: 0.394 0.394 0.357
Cd: 0.606 0.606 0.643
Cd: 0.726 0.726 0.337
Cd: 0.832 0.832 0.007

Largest 10 diffraction maxima, by angle, 2θ = 10–90°:
6.791 Å, 13.04°, I = 16.5
4.125 Å, 21.54°, I = 15.7
4.061 Å, 21.88°, I = 34.4
2.583 Å, 34.73°, I = 100.0
2.537 Å, 35.38°, I = 95.5
2.264 Å, 39.82°, I = 32.8
2.255 Å, 39.99°, I = 34.1
2.139 Å, 42.26°, I = 29.3
1.555 Å, 59.46°, I = 20.0
1.552 Å, 59.58°, I = 20.4

# 6
The following is a computed powder X-ray diffraction pattern of Li6TlCd2. It was derived from a crystal structure in Alexandria, relaxed with PBE, using Cu Ka.

Structural model:
Lattice parameters (Å, degrees): 3.098 8.147 8.147 120.11 90.00 90.00
Sites, in units of the cell vectors:
Li: 0.000 0.000 0.000
Li: 0.000 0.395 0.698
Li: 0.000 0.698 0.395
Li: 0.500 0.060 0.698
Li: 0.500 0.334 0.334
Li: 0.500 0.698 0.060
Tl: 0.500 0.697 0.697
Cd: 0.000 0.031 0.364
Cd: 0.000 0.364 0.031

Largest 10 diffraction maxima, by angle, 2θ = 10–90°:
7.052 Å, 12.55°, I = 13.5
4.071 Å, 21.83°, I = 100.0
2.836 Å, 31.54°, I = 45.0
2.351 Å, 38.29°, I = 28.8
2.327 Å, 38.69°, I = 27.6
2.036 Å, 44.51°, I = 15.5
2.020 Å, 44.86°, I = 35.2
1.654 Å, 55.57°, I = 17.5
1.539 Å, 60.10°, I = 8.4
1.448 Å, 64.35°, I = 10.1

# 7
The following is a computed powder X-ray diffraction pattern of Li4TlCd. It was derived from a crystal structure in Alexandria, relaxed with PBE, using Cu Ka.

Structural model:
Lattice parameters (Å, degrees): 3.394 4.705 7.270 90.00 103.58 90.00
Sites, in units of the cell vectors:
Li: 0.000 0.000 0.000
Li: 0.143 0.500 0.288
Li: 0.333 0.000 0.665
Li: 0.812 0.500 0.627
Tl: 0.670 0.000 0.338
Cd: 0.475 0.500 0.951

Largest 10 diffraction maxima, by angle, 2θ = 10–90°:
7.067 Å, 12.53°, I = 39.3
3.916 Å, 22.71°, I = 100.0
3.533 Å, 25.20°, I = 26.5
3.300 Å, 27.02°, I = 51.3
2.825 Å, 31.67°, I = 22.9
2.702 Å, 33.16°, I = 32.8
2.376 Å, 37.86°, I = 69.4
2.354 Å, 38.24°, I = 32.0
2.172 Å, 41.58°, I = 23.2
1.915 Å, 47.47°, I = 22.3

# 8
The following is a computed powder X-ray diffraction pattern of LiTm2Cd5. It was derived from a crystal structure in Alexandria, relaxed with PBE, using Cu Ka.

Structural model:
Lattice parameters (Å, degrees): 8.485 8.485 8.485 146.87 146.87 47.56
Sites, in units of the cell vectors:
Li: 0.000 0.000 0.000
Tm: 0.256 0.256 0.000
Tm: 0.744 0.744 0.000
Cd: 0.115 0.615 0.500
Cd: 0.385 0.885 0.500
Cd: 0.500 0.500 0.000
Cd: 0.615 0.115 0.500
Cd: 0.885 0.385 0.500

Largest 10 diffraction maxima, by angle, 2θ = 10–90°:
7.765 Å, 11.40°, I = 10.0
3.131 Å, 28.51°, I = 16.0
2.567 Å, 34.96°, I = 100.0
2.419 Å, 37.16°, I = 44.1
1.941 Å, 46.80°, I = 9.5
1.711 Å, 53.57°, I = 15.0
1.514 Å, 61.22°, I = 16.7
1.423 Å, 65.58°, I = 30.8
1.283 Å, 73.84°, I = 9.5
1.210 Å, 79.15°, I = 11.0

# 9
The following is a computed powder X-ray diffraction pattern of Li2TmCd9. It was derived from a crystal structure in Alexandria, relaxed with PBE, using Cu Ka.

Structural model:
Lattice parameters (Å, degrees): 4.445 4.445 13.181 90.00 90.00 90.00
Sites, in units of the cell vectors:
Li: 0.000 0.000 0.164
Li: 0.000 0.000 0.836
Tm: 0.000 0.000 0.500
Cd: 0.000 0.500 0.000
Cd: 0.000 0.500 0.322
Cd: 0.000 0.500 0.678
Cd: 0.500 0.000 0.000
Cd: 0.500 0.000 0.322
Cd: 0.500 0.000 0.678
Cd: 0.500 0.500 0.159
Cd: 0.500 0.500 0.500
Cd: 0.500 0.500 0.841

Largest 10 diffraction maxima, by angle, 2θ = 10–90°:
4.212 Å, 21.09°, I = 7.4
2.837 Å, 31.54°, I = 5.1
2.556 Å, 35.10°, I = 100.0
2.222 Å, 40.59°, I = 33.9
2.197 Å, 41.09°, I = 15.1
1.572 Å, 58.75°, I = 11.0
1.562 Å, 59.13°, I = 20.1
1.339 Å, 70.32°, I = 24.7
1.327 Å, 71.01°, I = 10.2
1.278 Å, 74.19°, I = 9.9

# 10
The following is a computed powder X-ray diffraction pattern of LiTmCd. It was derived from a crystal structure in Alexandria, relaxed with PBE, using Cu Ka.

Structural model:
Lattice parameters (Å, degrees): 3.481 3.454 11.449 90.00 90.25 90.00
Sites, in units of the cell vectors:
Li: 0.247 0.250 0.073
Li: 0.753 0.750 0.927
Tm: 0.248 0.250 0.392
Tm: 0.752 0.750 0.608
Cd: 0.254 0.250 0.794
Cd: 0.746 0.750 0.206

Largest 10 diffraction maxima, by angle, 2θ = 10–90°:
2.980 Å, 29.98°, I = 44.4
2.969 Å, 30.10°, I = 46.3
2.957 Å, 30.22°, I = 89.4
2.578 Å, 34.81°, I = 35.0
2.563 Å, 35.01°, I = 100.0
2.452 Å, 36.65°, I = 91.2
2.290 Å, 39.35°, I = 33.3
1.676 Å, 54.77°, I = 25.2
1.671 Å, 54.95°, I = 25.3
1.493 Å, 62.15°, I = 22.7

# 11
The following is a computed powder X-ray diffraction pattern of LiTm3Cd2. It was derived from a crystal structure in Alexandria, relaxed with PBE, using Cu Ka.

Structural model:
Lattice parameters (Å, degrees): 8.158 8.158 3.761 90.00 90.00 143.18
Sites, in units of the cell vectors:
Li: 0.000 0.000 0.000
Tm: 0.166 0.834 0.500
Tm: 0.500 0.500 0.500
Tm: 0.834 0.166 0.500
Cd: 0.337 0.663 0.000
Cd: 0.663 0.337 0.000

Largest 10 diffraction maxima, by angle, 2θ = 10–90°:
3.761 Å, 23.65°, I = 8.3
3.646 Å, 24.41°, I = 15.5
2.618 Å, 34.25°, I = 100.0
2.578 Å, 34.80°, I = 47.8
1.881 Å, 48.40°, I = 9.4
1.823 Å, 50.03°, I = 17.0
1.519 Å, 60.98°, I = 18.7
1.496 Å, 62.04°, I = 35.2
1.309 Å, 72.16°, I = 11.2
1.186 Å, 81.12°, I = 8.3

# 12
The following is a computed powder X-ray diffraction pattern of Li2Tm3Cd7. It was derived from a crystal structure in Alexandria, relaxed with PBE, using Cu Ka.

Structural model:
Lattice parameters (Å, degrees): 5.015 5.094 11.261 90.00 97.27 90.00
Sites, in units of the cell vectors:
Li: 0.099 0.000 0.294
Li: 0.901 0.000 0.706
Tm: 0.000 0.000 0.000
Tm: 0.440 0.500 0.669
Tm: 0.560 0.500 0.331
Cd: 0.025 0.500 0.164
Cd: 0.263 0.000 0.543
Cd: 0.449 0.000 0.831
Cd: 0.500 0.500 0.000
Cd: 0.551 0.000 0.169
Cd: 0.737 0.000 0.457
Cd: 0.975 0.500 0.836

Largest 10 diffraction maxima, by angle, 2θ = 10–90°:
4.345 Å, 20.44°, I = 25.9
3.764 Å, 23.64°, I = 32.9
3.006 Å, 29.72°, I = 21.4
2.698 Å, 33.21°, I = 66.3
2.547 Å, 35.23°, I = 62.9
2.496 Å, 35.99°, I = 33.2
2.464 Å, 36.47°, I = 100.0
2.300 Å, 39.16°, I = 32.5
1.782 Å, 51.28°, I = 35.8
1.454 Å, 64.04°, I = 18.6

# 13
The following is a computed powder X-ray diffraction pattern of Li4TmCd15. It was derived from a crystal structure in Alexandria, relaxed with PBE, using Cu Ka.

Structural model:
Lattice parameters (Å, degrees): 4.409 4.409 21.954 90.00 90.00 90.00
Sites, in units of the cell vectors:
Li: 0.000 0.000 0.097
Li: 0.000 0.000 0.295
Li: 0.000 0.000 0.705
Li: 0.000 0.000 0.903
Tm: 0.000 0.000 0.500
Cd: 0.000 0.500 0.000
Cd: 0.000 0.500 0.196
Cd: 0.000 0.500 0.392
Cd: 0.000 0.500 0.608
Cd: 0.000 0.500 0.804
Cd: 0.500 0.000 0.000
Cd: 0.500 0.000 0.196
Cd: 0.500 0.000 0.392
Cd: 0.500 0.000 0.608
Cd: 0.500 0.000 0.804
Cd: 0.500 0.500 0.099
Cd: 0.500 0.500 0.293
Cd: 0.500 0.500 0.500
Cd: 0.500 0.500 0.707
Cd: 0.500 0.500 0.901

Largest 10 diffraction maxima, by angle, 2θ = 10–90°:
4.403 Å, 20.17°, I = 12.8
3.113 Å, 28.67°, I = 10.8
2.542 Å, 35.31°, I = 100.0
2.205 Å, 40.94°, I = 33.7
2.195 Å, 41.12°, I = 15.3
1.559 Å, 59.28°, I = 10.8
1.556 Å, 59.42°, I = 19.6
1.329 Å, 70.92°, I = 24.3
1.325 Å, 71.17°, I = 9.8
1.271 Å, 74.68°, I = 9.7

# 14
The following is a computed powder X-ray diffraction pattern of LiCdW2. It was derived from a crystal structure in Alexandria, relaxed with PBE, using Cu Ka.

Structural model:
Lattice parameters (Å, degrees): 2.693 4.349 5.835 90.00 100.89 90.00
Sites, in units of the cell vectors:
Li: 0.000 0.000 0.000
Cd: 0.234 0.500 0.776
W: 0.584 0.000 0.469
W: 0.832 0.500 0.264

Largest 10 diffraction maxima, by angle, 2θ = 10–90°:
5.730 Å, 15.46°, I = 79.4
3.464 Å, 25.72°, I = 40.4
2.393 Å, 37.59°, I = 100.0
2.260 Å, 39.90°, I = 26.4
2.245 Å, 40.16°, I = 43.8
2.228 Å, 40.48°, I = 77.3
2.174 Å, 41.53°, I = 41.7
1.562 Å, 59.15°, I = 28.1
1.355 Å, 69.36°, I = 15.9
1.265 Å, 75.07°, I = 23.6